The following is a simulated XRD peak list of Na2AcUF8. It was derived from a DFT-relaxed cell (GGA-PBE, Alexandria), using a wavelength of 1.5418 Å.
Intensities are scaled so that the largest is 100.

Principal peaks in the range 10 to 90 degrees two-theta, in order of rising 2θ:
(hkl)	2theta	Rel. int.
1 0 0	16.28	100
1 1 0	28.38	35
1 0 2	29.15	45
2 0 0	32.89	11
1 1 2	37.52	28
2 0 2	41.14	27
2 1 0	43.99	13
2 1 2	50.74	26
1 0 4	52.16	13
3 1 2	66.90	10

Structural model:
```
data_Na2AcUF8
_space_group_name_H-M_alt 'P -3 m 1'
_space_group_IT_number 164
_space_group_name_Hall '-P 3 2"'
_cell_length_a 6.2887
_cell_length_b 6.2887
_cell_length_c 7.4088
_cell_angle_alpha 90.00
_cell_angle_beta 90.00
_cell_angle_gamma 120.00
loop_
_atom_site_label
_atom_site_type_symbol
_atom_site_fract_x
_atom_site_fract_y
_atom_site_fract_z
_atom_site_occupancy
Na1 Na 0.3333 0.6667 0.1887 1
Ac1 Ac 0.0000 0.0000 0.0000 1
U1 U 0.0000 0.0000 0.5000 1
F1 F 0.1433 0.2866 0.2694 1
F2 F 0.3333 0.6667 0.9080 1
```